No. 1
Diffraction record for Ga. The powder XRD pattern is computed, not measured: it uses a DFT-relaxed cell (PBE, Alexandria) and Cu Kα, 1.54184 Å.
Kinematic intensities with the Lorentz-polarization factor, no thermal factor.

Crystal structure
```
data_Ga
_chemical_formula_sum 'Ga8'
_cell_length_a 7.800
_cell_length_b 4.734
_cell_length_c 4.552
_cell_angle_alpha 90.00
_cell_angle_beta 90.00
_cell_angle_gamma 90.00
_symmetry_space_group_name_H-M 'P 1'
_symmetry_Int_Tables_number 1
loop_
_symmetry_equiv_pos_as_xyz
'x,y,z'
loop_
_atom_site_label
_atom_site_fract_x
_atom_site_fract_y
_atom_site_fract_z
Ga1 0.162 0.173 0.250
Ga2 0.162 0.827 0.750
Ga3 0.338 0.327 0.750
Ga4 0.338 0.673 0.250
Ga5 0.662 0.327 0.750
Ga6 0.662 0.673 0.250
Ga7 0.838 0.173 0.250
Ga8 0.838 0.827 0.750
```

Top 10 peaks for 10° ≤ 2θ ≤ 90°, sorted by position:
2θ 21.96, I = 246; 2θ 22.80, I = 385; 2θ 29.53, I = 862; 2θ 38.02, I = 165; 2θ 39.58, I = 640; 2θ 43.07, I = 473; 2θ 44.46, I = 1000; 2θ 69.71, I = 156; 2θ 75.23, I = 199; 2θ 83.26, I = 189


No. 2
Diffraction record for AcLaPb4. The powder XRD pattern is computed, not measured: it uses a DFT-relaxed cell (PBE, Alexandria) and Cu Kα, 1.54184 Å.
Kinematic intensities with the Lorentz-polarization factor, no thermal factor.

Crystal structure
```
data_AcLaPb4
_chemical_formula_sum 'Ac2 La2 Pb8'
_cell_length_a 11.948
_cell_length_b 11.948
_cell_length_c 7.009
_cell_angle_alpha 90.00
_cell_angle_beta 90.00
_cell_angle_gamma 156.12
_symmetry_space_group_name_H-M 'P 1'
_symmetry_Int_Tables_number 1
loop_
_symmetry_equiv_pos_as_xyz
'x,y,z'
loop_
_atom_site_label
_atom_site_fract_x
_atom_site_fract_y
_atom_site_fract_z
Ac1 0.224 0.776 0.750
Ac2 0.776 0.224 0.250
La1 0.075 0.925 0.250
La2 0.925 0.075 0.750
Pb1 0.075 0.925 0.750
Pb2 0.351 0.649 0.001
Pb3 0.351 0.649 0.499
Pb4 0.500 0.500 0.000
Pb5 0.500 0.500 0.500
Pb6 0.649 0.351 0.501
Pb7 0.649 0.351 0.999
Pb8 0.925 0.075 0.250
```

Top 10 peaks for 10° ≤ 2θ ≤ 90°, sorted by position:
2θ 22.33, I = 224; 2θ 31.53, I = 1000; 2θ 32.35, I = 976; 2θ 34.42, I = 604; 2θ 36.35, I = 383; 2θ 50.92, I = 407; 2θ 60.85, I = 310; 2θ 62.41, I = 150; 2θ 62.76, I = 302; 2θ 62.90, I = 150


No. 3
Diffraction record for Dy3ScSb2C. The powder XRD pattern is computed, not measured: it uses a DFT-relaxed cell (PBE, Alexandria) and Cu Kα, 1.54184 Å.
Kinematic intensities with the Lorentz-polarization factor, no thermal factor.

Crystal structure
```
data_Dy3ScSb2C
_chemical_formula_sum 'Dy6 Sc2 Sb4 C2'
_cell_length_a 4.512
_cell_length_b 4.751
_cell_length_c 15.823
_cell_angle_alpha 90.00
_cell_angle_beta 90.00
_cell_angle_gamma 90.00
_symmetry_space_group_name_H-M 'P 1'
_symmetry_Int_Tables_number 1
loop_
_symmetry_equiv_pos_as_xyz
'x,y,z'
loop_
_atom_site_label
_atom_site_fract_x
_atom_site_fract_y
_atom_site_fract_z
Dy1 0.000 0.000 0.000
Dy2 0.000 0.500 0.159
Dy3 0.000 0.500 0.841
Dy4 0.500 0.000 0.341
Dy5 0.500 0.000 0.659
Dy6 0.500 0.500 0.500
Sc1 0.000 0.000 0.500
Sc2 0.500 0.500 0.000
Sb1 0.000 0.500 0.358
Sb2 0.000 0.500 0.642
Sb3 0.500 0.000 0.142
Sb4 0.500 0.000 0.858
C1 0.000 0.500 0.000
C2 0.500 0.000 0.500
```

Top 10 peaks for 10° ≤ 2θ ≤ 90°, sorted by position:
2θ 27.26, I = 349; 2θ 29.54, I = 592; 2θ 33.99, I = 321; 2θ 35.61, I = 1000; 2θ 37.87, I = 325; 2θ 39.96, I = 279; 2θ 51.79, I = 190; 2θ 53.45, I = 174; 2θ 56.23, I = 209; 2θ 65.53, I = 194